PrTiGe: theoretical powder X-ray diffraction pattern (copper Kα), based on a crystal structure in the Materials Project, relaxed with PBE.

The 10 most intense peaks (10 to 90 degrees two-theta), sorted by position:
hkl, 2θ (°), Rel. int.
1 1 0, 30.43, 60
1 0 2, 31.04, 100
1 1 1, 32.47, 47
1 1 2, 38.01, 64
1 0 3, 40.19, 20
2 0 0, 43.58, 54
1 0 4, 50.66, 20
2 1 2, 54.46, 41
1 0 5, 62.18, 19
2 1 5, 78.98, 19

Crystal structure
a b c (Å): 4.154 4.154 7.999
angles (deg): 90.00 90.00 90.00
Space group P4/nmm (No. 129, origin choice 2)
Inequivalent atoms, fractional coordinates:
Pr 0.250 0.250 0.153 x2
Ti 0.250 0.750 0.500 x2
Ge 0.250 0.250 0.722 x2

=====

PrVGe3: theoretical powder X-ray diffraction pattern (copper Kα), based on a crystal structure in the Materials Project, relaxed with PBE.

The 10 most intense peaks (10 to 90 degrees two-theta), sorted by position:
hkl, 2θ (°), Rel. int.
1 1 0, 28.39, 21
0 0 2, 31.68, 29
2 0 0, 32.90, 12
1 0 2, 35.82, 20
2 0 1, 36.65, 100
2 0 2, 46.32, 29
2 1 1, 47.00, 14
2 2 0, 58.75, 17
2 0 3, 59.72, 24
2 2 2, 68.30, 11

Crystal structure
a b c (Å): 6.2867 6.2867 5.6482
angles (deg): 90.00 90.00 120.00
Space group P6_3/mmc (No. 194)
Inequivalent atoms, fractional coordinates:
Pr 0.3333 0.6667 0.2500 x2
V 0.0000 0.0000 0.0000 x2
Ge 0.1940 0.3880 0.7500 x6

=====

Ge2Pt3: theoretical powder X-ray diffraction pattern (copper Kα), based on a crystal structure in the Materials Project, relaxed with PBE.

The 10 most intense peaks (10 to 90 degrees two-theta), sorted by position:
hkl, 2θ (°), Rel. int.
1 0 2, 26.47, 64
4 1 0, 31.12, 25
3 0 2, 33.55, 39
4 2 0, 37.32, 27
2 3 0, 38.15, 41
3 2 2, 41.22, 100
1 3 2, 44.56, 56
5 1 2, 46.41, 38
0 0 4, 52.29, 24
5 5 2, 78.33, 23

Crystal structure
a b c (Å): 12.406 7.652 6.998
angles (deg): 90.00 90.00 90.00
Space group Pnma (No. 62)
Inequivalent atoms, fractional coordinates:
Ge 0.006 0.250 0.127 x4
Ge 0.010 0.250 0.621 x4
Ge 0.246 0.027 0.875 x8
Pt 0.088 0.559 0.128 x8
Pt 0.091 0.559 0.623 x8
Pt 0.216 0.250 0.155 x4
Pt 0.218 0.250 0.591 x4

=====

GePt: theoretical powder X-ray diffraction pattern (copper Kα), based on a crystal structure in the Materials Project, relaxed with PBE.

The 10 most intense peaks (10 to 90 degrees two-theta), sorted by position:
hkl, 2θ (°), Rel. int.
0 1 1, 27.93, 66
0 0 2, 28.87, 19
2 0 0, 30.45, 26
1 1 2, 40.90, 56
2 1 1, 41.79, 100
2 0 2, 42.45, 32
1 0 3, 46.69, 23
0 2 0, 48.82, 38
0 1 3, 50.58, 19
3 1 4, 83.85, 25

Crystal structure
a b c (Å): 5.872 3.730 6.185
angles (deg): 90.00 90.00 90.00
Space group Pnma (No. 62)
Inequivalent atoms, fractional coordinates:
Ge 0.188 0.250 0.087 x4
Pt 0.000 0.250 0.693 x4

=====

Ge2Pt: theoretical powder X-ray diffraction pattern (copper Kα), based on a crystal structure in the Materials Project, relaxed with PBE.

The 10 most intense peaks (10 to 90 degrees two-theta), sorted by position:
hkl, 2θ (°), Rel. int.
1 1 0, 20.76, 91
0 2 0, 28.41, 38
1 2 0, 32.35, 27
1 0 1, 33.73, 100
2 2 0, 42.24, 29
1 2 1, 44.67, 47
2 1 1, 45.81, 73
1 3 0, 46.04, 36
3 1 0, 48.96, 44
0 3 1, 53.45, 35

Crystal structure
a b c (Å): 5.843 6.283 2.983
angles (deg): 90.00 90.00 90.00
Space group Pnnm (No. 58)
Inequivalent atoms, fractional coordinates:
Ge 0.168 0.128 0.000 x4
Pt 0.000 0.500 0.000 x2

=====

Ge2Pt3: theoretical powder X-ray diffraction pattern (copper Kα), based on a crystal structure in the Materials Project, relaxed with PBE.

The 10 most intense peaks (10 to 90 degrees two-theta), sorted by position:
hkl, 2θ (°), Rel. int.
1 1 0, 26.18, 65
0 4 1, 31.44, 23
1 3 0, 33.48, 33
0 4 2, 37.56, 23
0 2 3, 38.12, 37
1 3 2, 41.12, 100
0 6 0, 44.31, 67
1 5 1, 46.58, 38
2 0 0, 51.59, 27
1 5 5, 78.29, 21

Crystal structure
a b c (Å): 3.543 12.257 7.674
angles (deg): 90.00 90.00 90.00
Space group Cmcm (No. 63)
Inequivalent atoms, fractional coordinates:
Ge 0.000 0.000 0.000 x4
Ge 0.000 0.256 0.250 x4
Pt 0.000 0.339 0.558 x8
Pt 0.000 0.466 0.250 x4

=====

ScGePt: theoretical powder X-ray diffraction pattern (copper Kα), based on a crystal structure in the Materials Project, relaxed with PBE.

The 10 most intense peaks (10 to 90 degrees two-theta), sorted by position:
hkl, 2θ (°), Rel. int.
0 1 1, 24.03, 42
2 0 0, 26.79, 58
1 1 1, 27.57, 70
1 1 2, 34.60, 34
2 0 2, 36.08, 36
2 1 1, 36.30, 84
0 1 3, 41.90, 100
0 2 0, 42.48, 94
2 1 3, 50.43, 51
3 1 2, 52.52, 31

Crystal structure
a b c (Å): 6.655 4.257 7.502
angles (deg): 90.00 90.00 90.00
Space group Pnma (No. 62)
Inequivalent atoms, fractional coordinates:
Sc 0.001 0.250 0.204 x4
Ge 0.197 0.250 0.593 x4
Pt 0.205 0.750 0.417 x4

=====

Sm3Ge6Pt4: theoretical powder X-ray diffraction pattern (copper Kα), based on a crystal structure in the Materials Project, relaxed with PBE.

The 10 most intense peaks (10 to 90 degrees two-theta), sorted by position:
hkl, 2θ (°), Rel. int.
1 1 2, 28.71, 39
5 1 2, 33.29, 100
8 1 0, 33.92, 58
9 0 2, 36.73, 44
0 0 4, 40.69, 34
0 2 0, 40.89, 49
11 1 2, 47.76, 18
14 1 0, 52.79, 17
9 2 2, 56.12, 25
0 2 4, 59.05, 24

Crystal structure
a b c (Å): 26.401 4.414 8.869
angles (deg): 90.00 90.00 90.00
Space group Pnma (No. 62)
Inequivalent atoms, fractional coordinates:
Sm 0.092 0.250 0.113 x4
Sm 0.093 0.250 0.635 x4
Sm 0.220 0.250 0.874 x4
Ge 0.001 0.250 0.378 x4
Ge 0.003 0.750 0.127 x4
Ge 0.139 0.750 0.874 x4
Ge 0.142 0.750 0.374 x4
Ge 0.215 0.250 0.227 x4
Ge 0.216 0.250 0.522 x4
Pt 0.044 0.750 0.871 x4
Pt 0.050 0.750 0.378 x4
Pt 0.188 0.750 0.123 x4
Pt 0.188 0.750 0.625 x4